# 1
This entry pairs a crystal structure of CaNd2Te4 with its simulated X-ray diffraction stick pattern. Radiation: CuKα. Structure: a structure optimized by DFT (GGA-PBE).

Cell and atoms:
abc: 8.294 8.294 8.294
angles: 109.77 109.77 108.87
Atoms (fractional coordinates):
Ca: 0.000 0.000 0.000
Ca: 0.750 0.250 0.500
Nd: 0.249 0.125 0.624
Nd: 0.375 0.751 0.876
Nd: 0.501 0.625 0.376
Nd: 0.875 0.499 0.124
Te: 0.126 0.378 0.897
Te: 0.128 0.376 0.397
Te: 0.269 0.872 0.247
Te: 0.481 0.228 0.103
Te: 0.622 0.519 0.747
Te: 0.624 0.022 0.753
Te: 0.772 0.874 0.253
Te: 0.978 0.731 0.603

Most intense lines, 2θ = 5–70°, low angle first:
- d = 3.924 Å, 2θ = 22.66°, I 10.6
- d = 3.047 Å, 2θ = 29.31°, I 42.2
- d = 3.019 Å, 2θ = 29.59°, I 100.0
- d = 2.568 Å, 2θ = 34.94°, I 48.6
- d = 2.554 Å, 2θ = 35.13°, I 55.3
- d = 2.137 Å, 2θ = 42.30°, I 13.1
- d = 2.043 Å, 2θ = 44.33°, I 11.3
- d = 1.951 Å, 2θ = 46.54°, I 16.6
- d = 1.884 Å, 2θ = 48.31°, I 11.2
- d = 1.550 Å, 2θ = 59.63°, I 15.1
- d = 1.548 Å, 2θ = 59.72°, I 11.5
- d = 1.510 Å, 2θ = 61.41°, I 10.6

# 2
This entry pairs a crystal structure of CaNdZn2 with its simulated X-ray diffraction stick pattern. Radiation: CuKα. Structure: a structure optimized by DFT (GGA-PBE).

Cell and atoms:
abc: 5.209 5.209 5.209
angles: 60.00 60.00 60.00
Atoms (fractional coordinates):
Ca: 0.000 0.000 0.000
Nd: 0.500 0.500 0.500
Zn: 0.250 0.250 0.250
Zn: 0.750 0.750 0.750

Most intense lines, 2θ = 5–70°, low angle first:
- d = 4.253 Å, 2θ = 20.89°, I 21.8
- d = 3.683 Å, 2θ = 24.16°, I 2.2
- d = 2.604 Å, 2θ = 34.44°, I 100.0
- d = 2.221 Å, 2θ = 40.62°, I 12.3
- d = 2.126 Å, 2θ = 42.51°, I 0.6
- d = 1.842 Å, 2θ = 49.50°, I 17.4
- d = 1.690 Å, 2θ = 54.28°, I 5.5
- d = 1.647 Å, 2θ = 55.81°, I 0.9
- d = 1.504 Å, 2θ = 61.69°, I 35.0
- d = 1.418 Å, 2θ = 65.89°, I 4.1

What is the formula in the second record? CaNdZn2

What is the formula in the first record? CaNd2Te4